Calculated XRD peak list of HfVGeO6 for λ = 1.5418 Å (Cu Kα), from the GGA+U geometry in Alexandria.

Most intense lines, 10 to 80 degrees two-theta, in order of rising 2θ:
2θ = 21.50°, d 4.133, intensity 41.2, hkl 1 0 1; 2θ = 27.23°, d 3.275, intensity 100.0, hkl 1 1 0; 2θ = 33.64°, d 2.664, intensity 16.6, hkl 1 1 2; 2θ = 35.19°, d 2.550, intensity 75.3, hkl 1 0 3; 2θ = 38.89°, d 2.315, intensity 20.0, hkl 2 0 0; 2θ = 53.45°, d 1.714, intensity 64.3, hkl 2 1 3; 2θ = 56.18°, d 1.637, intensity 16.5, hkl 2 2 0; 2θ = 68.05°, d 1.378, intensity 19.4, hkl 3 0 3

Atomic structure:
```
HfVGeO6
1.0
4.631 0.000 0.000
0.000 4.631 0.000
0.000 0.000 9.167
Hf V Ge O
2 2 2 12
Direct
0.000 0.000 0.000
0.500 0.500 0.500
0.000 0.000 0.331
0.500 0.500 0.831
0.000 0.000 0.663
0.500 0.500 0.163
0.184 0.184 0.500
0.202 0.202 0.820
0.206 0.206 0.168
0.294 0.706 0.668
0.298 0.702 0.320
0.316 0.684 0.000
0.684 0.316 0.000
0.702 0.298 0.320
0.706 0.294 0.668
0.794 0.794 0.168
0.798 0.798 0.820
0.816 0.816 0.500
```